[1]
Starting from a cell relaxed with GGA-PBE, the PXRD pattern of Tb4Pr2Ho was computed for Cu Kα, 1.54184 Å.
Kinematic intensities with the Lorentz-polarization factor, no thermal factor.

The 10 most intense peaks (15 to 90 degrees two-theta), by angle:
Position (°2θ)  Rel. int.
24.57  16.2
26.83  14.0
31.22  52.8
33.06  100.0
33.17  13.3
44.74  15.7
47.53  17.5
50.06  8.6
56.75  33.6
60.19  16.3

Crystal structure
Unit cell a=11.4595 b=11.4595 c=3.6441 alpha=90.00 beta=90.00 gamma=90.00
Space group P4/nmm (No. 129, origin choice 2)
Asymmetric unit:
Tb 0.0330 0.7500 0.0036 x8
Pr 0.0000 0.0000 0.5000 x4
Ho 0.2500 0.2500 0.4955 x2


[2]
Starting from a cell relaxed with GGA-PBE, the PXRD pattern of Tb6PrHo8 was computed for Cu Kα, 1.54184 Å.
Kinematic intensities with the Lorentz-polarization factor, no thermal factor.

The 10 most intense peaks (15 to 90 degrees two-theta), by angle:
Position (°2θ)  Rel. int.
30.57  19.5
31.54  100.0
32.56  29.4
32.81  8.5
35.03  11.7
36.91  14.0
53.32  11.7
53.74  6.1
55.51  10.3
60.48  11.3

Crystal structure
Unit cell a=9.0255 b=9.0255 c=20.5675 alpha=90.00 beta=90.00 gamma=120.00
Space group R-3 (No. 148, hexagonal axes)
Asymmetric unit:
Tb 0.0612 0.8157 0.2080 x18
Pr 0.0000 0.0000 0.5000 x3
Ho 0.0000 0.0000 0.0764 x6
Ho 0.0807 0.5286 0.3085 x18


[3]
Starting from a cell relaxed with GGA-PBE, the PXRD pattern of Tb3Pr4Ho8 was computed for Cu Kα, 1.54184 Å.
Kinematic intensities with the Lorentz-polarization factor, no thermal factor.

The 10 most intense peaks (15 to 90 degrees two-theta), by angle:
Position (°2θ)  Rel. int.
26.65  14.7
29.71  22.5
30.12  54.5
31.28  100.0
35.94  73.0
50.97  26.7
52.49  36.0
60.36  17.2
61.71  44.6
86.06  15.7

Crystal structure
Unit cell a=6.9733 b=6.9733 c=35.6017 alpha=90.00 beta=90.00 gamma=120.00
Space group R-3m (No. 166, hexagonal axes)
Asymmetric unit:
Tb 0.0000 0.5000 0.0000 x9
Pr 0.0000 0.0000 0.0000 x3
Pr 0.0000 0.0000 0.1634 x6
Pr 0.0000 0.0000 0.5000 x3
Ho 0.0000 0.0000 0.2552 x6
Ho 0.0018 0.5009 0.2513 x18


[4]
Starting from a cell relaxed with GGA-PBE, the PXRD pattern of Tb3Pr3Ho8 was computed for Cu Kα, 1.54184 Å.
Kinematic intensities with the Lorentz-polarization factor, no thermal factor.

The 10 most intense peaks (15 to 90 degrees two-theta), by angle:
Position (°2θ)  Rel. int.
29.62  31.4
30.56  29.1
31.60  53.2
31.77  100.0
33.63  57.7
44.53  20.8
56.38  19.8
57.54  21.4
61.05  12.2
62.29  15.5

Crystal structure
Unit cell a=5.6635 b=10.7865 c=15.0996 alpha=90.00 beta=90.00 gamma=90.00
Space group Immm (No. 71)
Asymmetric unit:
Tb 0.0000 0.0000 0.0000 x2
Tb 0.0000 0.2969 0.0000 x4
Pr 0.0000 0.0000 0.5000 x2
Pr 0.0000 0.5000 0.1846 x4
Ho 0.0000 0.1613 0.2199 x8
Ho 0.0000 0.3414 0.3977 x8


[5]
Starting from a cell relaxed with GGA-PBE, the PXRD pattern of TbPr8Ho3 was computed for Cu Kα, 1.54184 Å.
Kinematic intensities with the Lorentz-polarization factor, no thermal factor.

The 10 most intense peaks (15 to 90 degrees two-theta), by angle:
Position (°2θ)  Rel. int.
29.56  59.7
31.62  100.0
42.30  22.4
48.21  7.6
53.73  33.6
53.84  10.3
57.54  13.6
61.36  7.3
65.97  6.1
69.56  10.1

Crystal structure
Unit cell a=7.1145 b=12.0935 c=9.9179 alpha=90.00 beta=104.16 gamma=90.00
Space group C2/m (No. 12)
Asymmetric unit:
Tb 0.0000 0.0000 0.0000 x2
Pr 0.0678 0.2514 0.8339 x8
Pr 0.1808 0.0000 0.6669 x4
Pr 0.1814 0.5000 0.6644 x4
Ho 0.0000 0.5000 0.0000 x2
Ho 0.2500 0.2500 0.5000 x4


[6]
Starting from a cell relaxed with GGA-PBE, the PXRD pattern of Tb6Pr2Ho5 was computed for Cu Kα, 1.54184 Å.
Kinematic intensities with the Lorentz-polarization factor, no thermal factor.

The 10 most intense peaks (15 to 90 degrees two-theta), by angle:
Position (°2θ)  Rel. int.
30.81  56.4
31.46  45.0
31.80  36.1
31.89  62.7
32.07  100.0
34.20  39.7
35.13  26.9
36.47  27.5
50.78  23.1
61.21  33.2

Crystal structure
Unit cell a=11.7306 b=20.2335 c=3.5958 alpha=90.00 beta=90.00 gamma=90.00
Space group Pbam (No. 55)
Asymmetric unit:
Tb 0.0588 0.0773 0.0000 x4
Tb 0.0785 0.3650 0.0000 x4
Tb 0.1786 0.6257 0.5000 x4
Pr 0.1674 0.7834 0.0000 x4
Ho 0.0000 0.5000 0.5000 x2
Ho 0.0933 0.2213 0.5000 x4
Ho 0.1998 0.9477 0.5000 x4


[7]
Starting from a cell relaxed with GGA-PBE, the PXRD pattern of Tb5Pr2Ho12 was computed for Cu Kα, 1.54184 Å.
Kinematic intensities with the Lorentz-polarization factor, no thermal factor.

The 10 most intense peaks (15 to 90 degrees two-theta), by angle:
Position (°2θ)  Rel. int.
31.37  70.4
31.46  100.0
31.71  52.9
32.01  48.1
32.14  68.8
32.49  70.0
32.99  64.4
33.87  24.3
46.69  15.7
53.49  17.5

Crystal structure
Unit cell a=6.7372 b=8.7639 c=11.3802 alpha=110.97 beta=92.37 gamma=100.48
Space group P-1 (No. 2)
Asymmetric unit:
Tb 0.0000 0.0000 0.0000 x1
Tb 0.1214 0.2617 0.5139 x2
Tb 0.4532 0.8169 0.0384 x2
Pr 0.3422 0.6170 0.4273 x2
Ho 0.1122 0.6936 0.7252 x2
Ho 0.1166 0.8588 0.2666 x2
Ho 0.1603 0.4443 0.0864 x2
Ho 0.3334 0.4272 0.8139 x2
Ho 0.3466 0.0229 0.6340 x2
Ho 0.3820 0.2197 0.2511 x2


[8]
Starting from a cell relaxed with GGA-PBE, the PXRD pattern of TbPr3Ho5 was computed for Cu Kα, 1.54184 Å.
Kinematic intensities with the Lorentz-polarization factor, no thermal factor.

The 10 most intense peaks (15 to 90 degrees two-theta), by angle:
Position (°2θ)  Rel. int.
30.60  31.4
30.86  61.0
31.09  46.5
31.24  100.0
31.34  30.7
31.59  20.2
32.52  34.2
32.83  15.7
35.16  14.2
55.51  23.2

Crystal structure
Unit cell a=16.5651 b=6.7454 c=11.4621 alpha=90.00 beta=109.61 gamma=90.00
Space group C2/c (No. 15)
Asymmetric unit:
Tb 0.0000 0.2275 0.2500 x4
Pr 0.0000 0.0000 0.0000 x4
Pr 0.2375 0.3742 0.3543 x8
Ho 0.0000 0.3211 0.7500 x4
Ho 0.1069 0.4975 0.5452 x8
Ho 0.1759 0.1219 0.8737 x8